Diffraction record for K2NaGa3Ag12. The powder XRD pattern is calculated, not measured: it uses a DFT-relaxed cell (GGA-PBE, Alexandria) and Cu Ka.

Most intense lines, 2θ from 10° to 90°, sorted by position:
two_theta, I (rel.), index
17.91, 35.6, 1 1 0
34.55, 18.6, 0 1 5
36.28, 100.0, 2 2 0
39.18, 66.9, 2 0 5
54.46, 21.0, 0 4 5
67.21, 18.3, 4 2 5

Structural model:
Unit cell a=9.9035 b=9.9035 c=13.6177 alpha=90.00 beta=90.00 gamma=120.00
Space group R-3m (No. 166, hexagonal axes)
Inequivalent atoms, fractional coordinates:
K 0.0000 0.0000 0.1182
Na 0.0000 0.0000 0.5000
Ga 0.0000 0.5000 0.0000
Ag 0.0084 0.5042 0.1938
Ag 0.0380 0.5190 0.3972